Record 1
For RbAgPdSe2S, DFT lattice parameters and positions (GGA-PBE) gives the theoretical powder X-ray diffraction pattern in this record (Cu Kα).
No peak broadening, texture or thermal motion is included.

Structural model:
```
data_RbAgPdSe2S
_chemical_formula_sum 'Rb4 Ag4 Pd4 Se8 S4'
_cell_length_a 3.9199
_cell_length_b 14.9646
_cell_length_c 10.4971
_cell_angle_alpha 90.00
_cell_angle_beta 90.00
_cell_angle_gamma 90.00
_space_group_name_H-M_alt 'C m c m'
_space_group_IT_number 63
_space_group_name_Hall '-C 2c 2'
loop_
_atom_site_label
_atom_site_type_symbol
_atom_site_fract_x
_atom_site_fract_y
_atom_site_fract_z
Rb1 Rb 0.0000 0.2429 0.2500
Ag1 Ag 0.0000 0.0532 0.7500
Pd1 Pd 0.0000 0.5000 0.0000
Se1 Se 0.0000 0.1108 0.5182
S1 S 0.0000 0.4487 0.7500
```

Top 10 peaks for 5 to 70 degrees two-theta, low angle first:
2θ/deg, I (rel.)
11.8, 1000
29.0, 290
30.2, 774
33.7, 530
34.2, 645
37.8, 258
41.7, 439
46.3, 285
51.9, 300
58.8, 257

Record 2
For Sr6CoC2N7, DFT lattice parameters and positions (GGA-PBE) gives the theoretical powder X-ray diffraction pattern in this record (Cu Kα).
No peak broadening, texture or thermal motion is included.

Structural model:
```
data_Sr6CoC2N7
_chemical_formula_sum 'Sr12 Co2 C4 N14'
_cell_length_a 9.8301
_cell_length_b 14.6019
_cell_length_c 3.8401
_cell_angle_alpha 90.00
_cell_angle_beta 90.00
_cell_angle_gamma 90.00
_space_group_name_H-M_alt 'P 21 21 2'
_space_group_IT_number 18
_space_group_name_Hall 'P 2 2ab'
loop_
_atom_site_label
_atom_site_type_symbol
_atom_site_fract_x
_atom_site_fract_y
_atom_site_fract_z
Sr1 Sr 0.0712 0.1105 0.0604
Sr2 Sr 0.0935 0.6630 0.5058
Sr3 Sr 0.2478 0.9415 0.5597
Co1 Co 0.0000 0.5000 0.9765
C1 C 0.2279 0.2795 0.8170
N1 N 0.0000 0.0000 0.5652
N2 N 0.1335 0.2507 0.6325
N3 N 0.1662 0.5532 0.9725
N4 N 0.1687 0.8064 0.0276
```

Top 10 peaks for 5 to 70 degrees two-theta, low angle first:
2θ/deg, I (rel.)
12.1, 225
29.5, 226
29.9, 986
30.2, 370
31.0, 1000
32.0, 682
35.1, 690
38.1, 200
47.3, 327
57.0, 199